1.
Structure and calculated X-ray diffraction stick pattern of PmHo2Pt2 (a cell relaxed with PBE; Cu Kα X-rays).
Peak positions follow from Bragg's law for the DFT cell and can differ from measured ones.

Atomic structure:
```
data_PmHo2Pt2
_chemical_formula_sum 'Pm2 Ho4 Pt4'
_space_group_name_H-M_alt 'P 1 21/m 1'
_space_group_IT_number 11
_space_group_name_Hall '-P 2yb'
_cell_length_a 5.435
_cell_length_b 4.627
_cell_length_c 10.484
_cell_angle_alpha 90.00
_cell_angle_beta 99.05
_cell_angle_gamma 90.00
loop_
_atom_site_label
_atom_site_fract_x
_atom_site_fract_y
_atom_site_fract_z
Pm1 0.085 0.250 0.285
Ho1 0.255 0.250 0.970
Ho2 0.391 0.250 0.616
Pt1 0.154 0.750 0.475
Pt2 0.273 0.750 0.133
```

Principal peaks in the range 2θ from 15° to 90°, by angle:
2θ (°)	d_spacing	intensity
17.13	5.177	29
27.70	3.220	46
32.36	2.767	100
34.55	2.596	86
35.16	2.552	43
35.87	2.504	28
38.44	2.342	53
38.93	2.313	72
40.36	2.235	53
41.00	2.201	65

***

2.
Structure and calculated X-ray diffraction stick pattern of V2Hg2RhSe6 (a cell relaxed with PBE; Cu Kα X-rays).
Peak positions follow from Bragg's law for the DFT cell and can differ from measured ones.

Atomic structure:
```
data_V2Hg2RhSe6
_chemical_formula_sum 'V4 Hg4 Rh2 Se12'
_space_group_name_H-M_alt 'C 1 2/m 1'
_space_group_IT_number 12
_space_group_name_Hall '-C 2y'
_cell_length_a 5.682
_cell_length_b 10.599
_cell_length_c 9.684
_cell_angle_alpha 90.00
_cell_angle_beta 102.32
_cell_angle_gamma 90.00
loop_
_atom_site_label
_atom_site_fract_x
_atom_site_fract_y
_atom_site_fract_z
V1 0.000 0.135 0.000
Hg1 0.000 0.250 0.500
Rh1 0.000 0.500 0.000
Se1 0.104 0.000 0.817
Se2 0.104 0.322 0.849
```

Principal peaks in the range 2θ from 15° to 90°, by angle:
2θ (°)	d_spacing	intensity
16.73	5.300	40
18.75	4.731	45
19.20	4.624	100
25.24	3.529	32
28.30	3.154	43
32.25	2.776	39
33.05	2.710	38
33.65	2.663	47
41.07	2.198	34
44.69	2.028	44

***

3.
Structure and calculated X-ray diffraction stick pattern of Tb2Er2Mg15 (a cell relaxed with PBE; Cu Kα X-rays).
Peak positions follow from Bragg's law for the DFT cell and can differ from measured ones.

Atomic structure:
```
data_Tb2Er2Mg15
_chemical_formula_sum 'Tb6 Er6 Mg45'
_space_group_name_H-M_alt 'R -3 m'
_space_group_IT_number 166
_space_group_name_Hall '-R 3 2"'
_cell_length_a 10.4437
_cell_length_b 10.4437
_cell_length_c 15.2911
_cell_angle_alpha 90.00
_cell_angle_beta 90.00
_cell_angle_gamma 120.00
loop_
_atom_site_label
_atom_site_fract_x
_atom_site_fract_y
_atom_site_fract_z
Tb1 0.0000 0.0000 0.1717
Er1 0.0000 0.0000 0.3995
Mg1 0.0000 0.2986 0.5000
Mg2 0.0000 0.5000 0.0000
Mg3 0.0094 0.5047 0.6468
```

Principal peaks in the range 2θ from 15° to 90°, by angle:
2θ (°)	d_spacing	intensity
16.98	5.222	100
25.29	3.521	20
29.63	3.015	54
30.62	2.919	23
30.86	2.897	23
34.35	2.611	49
34.57	2.595	26
35.22	2.548	26
35.43	2.533	29
39.54	2.279	26

***

4.
Structure and calculated X-ray diffraction stick pattern of HfCl4 (a cell relaxed with PBE; Cu Kα X-rays).
Peak positions follow from Bragg's law for the DFT cell and can differ from measured ones.

Atomic structure:
```
data_HfCl4
_chemical_formula_sum 'Hf2 Cl8'
_space_group_name_H-M_alt 'P 1 2/c 1'
_space_group_IT_number 13
_space_group_name_Hall '-P 2yc'
_cell_length_a 6.957
_cell_length_b 8.161
_cell_length_c 6.299
_cell_angle_alpha 90.00
_cell_angle_beta 107.61
_cell_angle_gamma 90.00
loop_
_atom_site_label
_atom_site_fract_x
_atom_site_fract_y
_atom_site_fract_z
Hf1 0.000 0.149 0.250
Cl1 0.205 0.097 0.994
Cl2 0.232 0.332 0.465
```

Principal peaks in the range 2θ from 15° to 90°, by angle:
2θ (°)	d_spacing	intensity
17.23	5.147	67
18.35	4.836	100
19.91	4.459	95
25.30	3.520	28
26.41	3.375	40
28.70	3.111	45
31.73	2.820	100
33.67	2.662	45
41.29	2.187	28
45.02	2.014	49

***

5.
Structure and calculated X-ray diffraction stick pattern of Rb2GaB2O6 (a cell relaxed with PBE; Cu Kα X-rays).
Peak positions follow from Bragg's law for the DFT cell and can differ from measured ones.

Atomic structure:
```
data_Rb2GaB2O6
_chemical_formula_sum 'Rb6 Ga3 B6 O18'
_space_group_name_H-M_alt 'R -3 m'
_space_group_IT_number 166
_space_group_name_Hall '-R 3 2"'
_cell_length_a 5.2164
_cell_length_b 5.2164
_cell_length_c 19.1133
_cell_angle_alpha 90.00
_cell_angle_beta 90.00
_cell_angle_gamma 120.00
loop_
_atom_site_label
_atom_site_fract_x
_atom_site_fract_y
_atom_site_fract_z
Rb1 0.0000 0.0000 0.2079
Ga1 0.0000 0.0000 0.0000
B1 0.0000 0.0000 0.3916
O1 0.0277 0.5139 0.2714
```

Principal peaks in the range 2θ from 15° to 90°, by angle:
2θ (°)	d_spacing	intensity
20.20	4.396	31
27.16	3.283	18
30.64	2.918	100
34.38	2.608	47
41.06	2.198	14
44.36	2.042	21
46.71	1.945	15
51.95	1.760	17
55.82	1.647	17
59.27	1.559	23

***

6.
Structure and calculated X-ray diffraction stick pattern of AcPaCu2O8 (a cell relaxed with PBE; Cu Kα X-rays).
Peak positions follow from Bragg's law for the DFT cell and can differ from measured ones.

Atomic structure:
```
data_AcPaCu2O8
_chemical_formula_sum 'Ac2 Pa2 Cu4 O16'
_space_group_name_H-M_alt 'I -4 m 2'
_space_group_IT_number 119
_space_group_name_Hall 'I -4 -2'
_cell_length_a 7.307
_cell_length_b 7.307
_cell_length_c 6.700
_cell_angle_alpha 90.00
_cell_angle_beta 90.00
_cell_angle_gamma 90.00
loop_
_atom_site_label
_atom_site_fract_x
_atom_site_fract_y
_atom_site_fract_z
Ac1 0.000 0.000 0.000
Pa1 0.000 0.500 0.250
Cu1 0.000 0.000 0.500
Cu2 0.000 0.500 0.750
O1 0.000 0.196 0.317
O2 0.000 0.336 0.955
```

Principal peaks in the range 2θ from 15° to 90°, by angle:
2θ (°)	d_spacing	intensity
17.96	4.938	51
24.36	3.654	100
30.43	2.937	18
31.84	2.811	79
34.72	2.584	27
47.82	1.902	65
49.92	1.827	16
56.30	1.634	16
60.44	1.532	19
71.62	1.318	17

***

7.
Structure and calculated X-ray diffraction stick pattern of MgH4Cl2O2 (a cell relaxed with PBE; Cu Kα X-rays).
Peak positions follow from Bragg's law for the DFT cell and can differ from measured ones.

Atomic structure:
```
data_MgH4Cl2O2
_chemical_formula_sum 'Mg2 H8 Cl4 O4'
_space_group_name_H-M_alt 'C 1 2/m 1'
_space_group_IT_number 12
_space_group_name_Hall '-C 2y'
_cell_length_a 8.050
_cell_length_b 8.481
_cell_length_c 3.704
_cell_angle_alpha 90.00
_cell_angle_beta 105.15
_cell_angle_gamma 90.00
loop_
_atom_site_label
_atom_site_fract_x
_atom_site_fract_y
_atom_site_fract_z
Mg1 0.000 0.000 0.000
H1 0.091 0.310 0.147
Cl1 0.227 0.000 0.615
O1 0.000 0.241 0.000
```

Principal peaks in the range 2θ from 15° to 90°, by angle:
2θ (°)	d_spacing	intensity
15.47	5.729	100
20.95	4.241	65
29.19	3.059	86
31.22	2.865	81
31.95	2.801	54
32.76	2.734	46
38.41	2.344	51
38.70	2.327	57
42.64	2.120	41
44.20	2.049	32

***

8.
Structure and calculated X-ray diffraction stick pattern of CeMoH5 (a cell relaxed with PBE; Cu Kα X-rays).
Peak positions follow from Bragg's law for the DFT cell and can differ from measured ones.

Atomic structure:
```
data_CeMoH5
_chemical_formula_sum 'Ce2 Mo2 H10'
_space_group_name_H-M_alt 'C 1 2/m 1'
_space_group_IT_number 12
_space_group_name_Hall '-C 2y'
_cell_length_a 7.603
_cell_length_b 5.099
_cell_length_c 3.770
_cell_angle_alpha 90.00
_cell_angle_beta 119.11
_cell_angle_gamma 90.00
loop_
_atom_site_label
_atom_site_fract_x
_atom_site_fract_y
_atom_site_fract_z
Ce1 0.000 0.000 0.000
Mo1 0.000 0.500 0.500
H1 0.000 0.500 0.000
H2 0.169 0.217 0.669
```

Principal peaks in the range 2θ from 15° to 90°, by angle:
2θ (°)	d_spacing	intensity
26.84	3.321	64
29.46	3.031	100
35.20	2.550	31
40.10	2.249	44
40.46	2.229	43
44.81	2.022	33
48.28	1.885	13
59.67	1.549	14
61.14	1.516	12
63.65	1.462	11

***

9.
Structure and calculated X-ray diffraction stick pattern of Tb4Pm3Y2 (a cell relaxed with PBE; Cu Kα X-rays).
Peak positions follow from Bragg's law for the DFT cell and can differ from measured ones.

Atomic structure:
```
data_Tb4Pm3Y2
_chemical_formula_sum 'Tb8 Pm6 Y4'
_space_group_name_H-M_alt 'C 1 2/m 1'
_space_group_IT_number 12
_space_group_name_Hall '-C 2y'
_cell_length_a 15.249
_cell_length_b 5.082
_cell_length_c 8.031
_cell_angle_alpha 90.00
_cell_angle_beta 108.48
_cell_angle_gamma 90.00
loop_
_atom_site_label
_atom_site_fract_x
_atom_site_fract_y
_atom_site_fract_z
Tb1 0.056 0.000 0.334
Tb2 0.222 0.500 0.334
Pm1 0.000 0.500 0.000
Pm2 0.111 0.500 0.665
Y1 0.167 0.000 0.000
```

Principal peaks in the range 2θ from 15° to 90°, by angle:
2θ (°)	d_spacing	intensity
25.46	3.498	2
30.47	2.934	100
35.33	2.541	51
50.82	1.796	36
60.42	1.532	43
63.41	1.467	12
74.73	1.270	6
82.80	1.166	17
85.45	1.136	15
85.53	1.135	1